Diffraction record for K2Hg3Ge2S8. The X-ray diffraction stick pattern is calculated, not measured: it uses a GGA-PBE-relaxed structure and Cu Kα (weighted mean of Kα1 and Kα2).
Peak positions follow from Bragg's law for the DFT cell and can differ from measured ones.

Main lines, by angle (10° ≤ 2θ ≤ 90°):
2θ 14.34, intensity 666, hkl 1 1 1
2θ 18.06, intensity 422, hkl 4 0 0
2θ 19.22, intensity 336, hkl 3 1 1
2θ 22.36, intensity 798, hkl 2 0 2
2θ 25.66, intensity 606, hkl 4 2 0
2θ 27.40, intensity 1000, hkl 4 0 2
2θ 27.80, intensity 379, hkl 1 2 2
2θ 28.91, intensity 698, hkl 2 2 2
2θ 36.58, intensity 465, hkl 8 0 0
2θ 36.94, intensity 292, hkl 1 4 0
2θ 39.01, intensity 321, hkl 6 2 2
2θ 42.58, intensity 282, hkl 2 0 4

Structural model:
```
data_K2Hg3Ge2S8
_symmetry_space_group_name_H-M 'A e a 2'
_symmetry_Int_Tables_number 41
_cell_length_a 19.665
_cell_length_b 9.808
_cell_length_c 8.693
_cell_angle_alpha 90.00
_cell_angle_beta 90.00
_cell_angle_gamma 90.00
loop_
_symmetry_equiv_pos_as_xyz
'x,y,z'
'-x,-y,z'
'-x+1/2,y+1/2,z'
'x+1/2,-y+1/2,z'
'x,y+1/2,z+1/2'
'-x,-y+1/2,z+1/2'
'-x+1/2,y,z+1/2'
'x+1/2,-y,z+1/2'
loop_
_atom_site_label
_atom_site_type_symbol
_atom_site_fract_x
_atom_site_fract_y
_atom_site_fract_z
_atom_site_occupancy
K1 K 0.115 0.198 0.000 1
Hg1 Hg 0.000 0.000 0.372 1
Hg2 Hg 0.246 0.454 0.200 1
Ge1 Ge 0.137 0.209 0.512 1
S1 S 0.040 0.228 0.369 1
S2 S 0.127 0.018 0.655 1
S3 S 0.133 0.398 0.660 1
S4 S 0.229 0.207 0.369 1
```


Diffraction record for SiCl2O. The X-ray diffraction stick pattern is calculated, not measured: it uses a GGA-PBE-relaxed structure and Cu Kα (weighted mean of Kα1 and Kα2).
Peak positions follow from Bragg's law for the DFT cell and can differ from measured ones.

Main lines, by angle (10° ≤ 2θ ≤ 90°):
2θ 10.62, intensity 426, hkl 0 0 1
2θ 10.99, intensity 255, hkl 0 1 0
2θ 14.37, intensity 993, hkl 1 0 0
2θ 22.07, intensity 900, hkl 0 2 0
2θ 23.12, intensity 1000, hkl 1 2 0
2θ 23.73, intensity 618, hkl 1 1 2
2θ 24.78, intensity 298, hkl 1 0 2
2θ 25.92, intensity 619, hkl 0 1 -2
2θ 28.88, intensity 402, hkl -1 1 2
2θ 29.41, intensity 290, hkl 1 -2 0
2θ 30.06, intensity 279, hkl 2 0 1
2θ 50.05, intensity 260, hkl -3 1 1

Structural model:
```
data_SiCl2O
_symmetry_space_group_name_H-M 'P -1'
_symmetry_Int_Tables_number 2
_cell_length_a 6.435
_cell_length_b 8.536
_cell_length_c 8.573
_cell_angle_alpha 77.13
_cell_angle_beta 81.96
_cell_angle_gamma 74.02
loop_
_symmetry_equiv_pos_as_xyz
'x,y,z'
'-x,-y,-z'
loop_
_atom_site_label
_atom_site_type_symbol
_atom_site_fract_x
_atom_site_fract_y
_atom_site_fract_z
_atom_site_occupancy
Si1 Si 0.020 0.328 0.242 1
Si2 Si 0.104 0.681 0.107 1
Cl1 Cl 0.116 0.140 0.793 1
Cl2 Cl 0.240 0.664 0.593 1
Cl3 Cl 0.269 0.135 0.322 1
Cl4 Cl 0.406 0.714 0.102 1
O1 O 0.046 0.693 0.926 1
O2 O 0.096 0.500 0.216 1
```


Copy entry 1 word for word.
Diffraction record for K2Hg3Ge2S8. The X-ray diffraction stick pattern is calculated, not measured: it uses a GGA-PBE-relaxed structure and Cu Kα (weighted mean of Kα1 and Kα2).
Peak positions follow from Bragg's law for the DFT cell and can differ from measured ones.

Main lines, by angle (10° ≤ 2θ ≤ 90°):
2θ 14.34, intensity 666, hkl 1 1 1
2θ 18.06, intensity 422, hkl 4 0 0
2θ 19.22, intensity 336, hkl 3 1 1
2θ 22.36, intensity 798, hkl 2 0 2
2θ 25.66, intensity 606, hkl 4 2 0
2θ 27.40, intensity 1000, hkl 4 0 2
2θ 27.80, intensity 379, hkl 1 2 2
2θ 28.91, intensity 698, hkl 2 2 2
2θ 36.58, intensity 465, hkl 8 0 0
2θ 36.94, intensity 292, hkl 1 4 0
2θ 39.01, intensity 321, hkl 6 2 2
2θ 42.58, intensity 282, hkl 2 0 4

Structural model:
```
data_K2Hg3Ge2S8
_symmetry_space_group_name_H-M 'A e a 2'
_symmetry_Int_Tables_number 41
_cell_length_a 19.665
_cell_length_b 9.808
_cell_length_c 8.693
_cell_angle_alpha 90.00
_cell_angle_beta 90.00
_cell_angle_gamma 90.00
loop_
_symmetry_equiv_pos_as_xyz
'x,y,z'
'-x,-y,z'
'-x+1/2,y+1/2,z'
'x+1/2,-y+1/2,z'
'x,y+1/2,z+1/2'
'-x,-y+1/2,z+1/2'
'-x+1/2,y,z+1/2'
'x+1/2,-y,z+1/2'
loop_
_atom_site_label
_atom_site_type_symbol
_atom_site_fract_x
_atom_site_fract_y
_atom_site_fract_z
_atom_site_occupancy
K1 K 0.115 0.198 0.000 1
Hg1 Hg 0.000 0.000 0.372 1
Hg2 Hg 0.246 0.454 0.200 1
Ge1 Ge 0.137 0.209 0.512 1
S1 S 0.040 0.228 0.369 1
S2 S 0.127 0.018 0.655 1
S3 S 0.133 0.398 0.660 1
S4 S 0.229 0.207 0.369 1
```